Theoretical powder X-ray diffraction pattern of Sr2As2HRh2 for CuKα, from a structure optimized by DFT (PBE).
Neutral-atom scattering factors, no anomalous dispersion.

Atomic structure:
```
7
Lattice="5.637 -2.128 0.000 5.637 2.128 0.000 -4.392 0.000 5.838" Properties=species:S:1:pos:R:3 pbc="T T T"
Sr -0.723 0.000 1.740
Sr 7.605 0.000 4.098
As 2.345 0.000 1.568
As 4.538 0.000 4.269
H 5.637 0.000 0.000
Rh -0.617 0.000 5.404
Rh 7.499 0.000 0.434
```

Largest 12 diffraction maxima, low angle first, 10 to 80 degrees two-theta:
two_theta, I (rel.)
15.18, 37
16.08, 30
30.94, 41
31.87, 49
32.48, 39
33.43, 88
36.62, 100
38.93, 40
42.48, 54
46.60, 27
55.40, 30
58.38, 30